Entry 1:
Starting from a PBE-relaxed structure, the XRD peak list of LaMg16Al12 was computed for Cu Kα.

Structure:
abc: 9.1702 9.1702 9.1702
angles: 109.47 109.47 109.47
Atoms (fractional coordinates):
La 0.0000 0.0000 0.0000
Mg 0.0000 0.0000 0.6355
Mg 0.0000 0.3979 0.6802
Mg 0.0000 0.6355 0.0000
Mg 0.0000 0.6802 0.3979
Mg 0.2823 0.6021 0.6021
Mg 0.3198 0.3198 0.7177
Mg 0.3198 0.7177 0.3198
Mg 0.3645 0.3645 0.3645
Mg 0.3979 0.0000 0.6802
Mg 0.3979 0.6802 0.0000
Mg 0.6021 0.2823 0.6021
Mg 0.6021 0.6021 0.2823
Mg 0.6355 0.0000 0.0000
Mg 0.6802 0.0000 0.3979
Mg 0.6802 0.3979 0.0000
Mg 0.7177 0.3198 0.3198
Al 0.0000 0.1879 0.3715
Al 0.0000 0.3715 0.1879
Al 0.1836 0.8121 0.8121
Al 0.1879 0.0000 0.3715
Al 0.1879 0.3715 0.0000
Al 0.3715 0.0000 0.1879
Al 0.3715 0.1879 0.0000
Al 0.6285 0.6285 0.8164
Al 0.6285 0.8164 0.6285
Al 0.8121 0.1836 0.8121
Al 0.8121 0.8121 0.1836
Al 0.8164 0.6285 0.6285

Most intense lines, 2θ from 5° to 70°, most intense first:
2θ/deg  d [Å]  I (rel.)
35.98  2.496  100
11.82  7.487  31
64.69  1.441  27
39.94  2.258  21
31.62  2.830  19
41.79  2.161  15
20.55  4.323  15
61.97  1.497  14

***

Entry 2:
Starting from a PBE-relaxed structure, the XRD peak list of Mg2Cr3WS8 was computed for Cu Kα.

Structure:
abc: 7.3153 7.3153 7.3153
angles: 59.50 59.50 59.50
Atoms (fractional coordinates):
Mg 0.1258 0.1258 0.1258
Mg 0.8742 0.8742 0.8742
Cr 0.0000 0.5000 0.5000
Cr 0.5000 0.0000 0.5000
Cr 0.5000 0.5000 0.0000
W 0.5000 0.5000 0.5000
S 0.2603 0.2603 0.7117
S 0.2603 0.7117 0.2603
S 0.2634 0.2634 0.2634
S 0.2883 0.7397 0.7397
S 0.7117 0.2603 0.2603
S 0.7366 0.7366 0.7366
S 0.7397 0.2883 0.7397
S 0.7397 0.7397 0.2883

Most intense lines, 2θ from 5° to 70°, most intense first:
2θ/deg  d [Å]  I (rel.)
14.93  5.935  100
34.82  2.576  70
28.75  3.105  55
49.87  1.829  32
50.27  1.815  31
28.59  3.122  27
45.76  1.983  24
17.21  5.153  20

***

Entry 3:
Starting from a PBE-relaxed structure, the XRD peak list of BaSr3Lu2Bi2O12 was computed for Cu Kα.

Structure:
abc: 5.9735 6.0124 8.4623
angles: 90.03 90.08 90.04
Atoms (fractional coordinates):
Ba 0.0000 0.0000 0.0000
Sr 0.4845 0.5118 0.0006
Sr 0.4979 0.4471 0.4996
Sr 0.9867 0.9422 0.5005
Lu 0.4930 0.9781 0.7475
Lu 0.9937 0.4761 0.2525
Bi 0.4932 0.9784 0.2534
Bi 0.9938 0.4765 0.7475
O 0.0745 0.4994 0.5028
O 0.2106 0.7544 0.7830
O 0.2180 0.7577 0.2190
O 0.2801 0.2704 0.7902
O 0.2903 0.2664 0.2105
O 0.4087 0.0040 0.4975
O 0.5514 0.9533 0.0039
O 0.7056 0.6964 0.2948
O 0.7140 0.6918 0.7060
O 0.7766 0.1888 0.2967
O 0.7853 0.1933 0.7032
O 0.9114 0.4700 0.9959

Most intense lines, 2θ from 5° to 70°, most intense first:
2θ/deg  d [Å]  I (rel.)
29.86  2.993  100
42.70  2.118  32
53.06  1.726  27
20.97  4.236  21
29.72  3.006  20
52.82  1.733  16
61.99  1.497  13
52.92  1.730  9

***

Entry 4:
Starting from a PBE-relaxed structure, the XRD peak list of SmAlF5 was computed for Cu Kα.

Structure:
abc: 9.0917 9.7674 9.8741
angles: 70.66 85.21 76.24
Atoms (fractional coordinates):
Sm 0.0000 0.0000 0.0000
Sm 0.0057 0.4355 0.5856
Sm 0.3223 0.4634 0.9220
Sm 0.3670 0.3542 0.3105
Sm 0.3897 0.8762 0.5764
Sm 0.4412 0.9375 0.1200
Sm 0.9036 0.1099 0.3981
Sm 0.9822 0.5242 0.1381
Al 0.0395 0.7717 0.7268
Al 0.1522 0.2142 0.1565
Al 0.2999 0.1928 0.7432
Al 0.6324 0.5191 0.7131
Al 0.6600 0.5709 0.3875
Al 0.6689 0.3248 0.0845
Al 0.6766 0.0063 0.7501
Al 0.8190 0.8044 0.3235
F 0.0307 0.6628 0.6112
F 0.0530 0.6023 0.8893
F 0.0711 0.8774 0.8360
F 0.0758 0.9240 0.5616
F 0.0876 0.1937 0.7871
F 0.1104 0.4951 0.3535
F 0.2157 0.3875 0.7574
F 0.2351 0.5628 0.1048
F 0.2447 0.8778 0.0526
F 0.2510 0.7042 0.7282
F 0.2648 0.3009 0.5555
F 0.3029 0.0204 0.7189
F 0.3445 0.1447 0.9269
F 0.3664 0.8671 0.3550
F 0.3964 0.1108 0.4170
F 0.4630 0.4631 0.7075
F 0.4997 0.2400 0.0943
F 0.5038 0.1706 0.7131
F 0.5081 0.4746 0.4051
F 0.5107 0.4789 0.0916
F 0.5345 0.6653 0.7778
F 0.5743 0.6693 0.5253
F 0.5746 0.6941 0.2215
F 0.5849 0.9329 0.6447
F 0.5873 0.9148 0.9152
F 0.6469 0.3754 0.8909
F 0.6655 0.2539 0.2818
F 0.6732 0.9335 0.2036
F 0.7308 0.4274 0.5767
F 0.7534 0.1188 0.5894
F 0.7827 0.9141 0.4427
F 0.7875 0.0665 0.8540
F 0.7998 0.4425 0.0583
F 0.8043 0.4499 0.3188
F 0.8131 0.1655 0.0858
F 0.8227 0.5249 0.7348
F 0.8404 0.8408 0.7487
F 0.9190 0.7770 0.0936
F 0.9734 0.9027 0.2593
F 0.9955 0.2424 0.5096

Most intense lines, 2θ from 5° to 70°, most intense first:
2θ/deg  d [Å]  I (rel.)
20.10  4.419  100
19.78  4.487  94
25.39  3.507  62
27.05  3.296  54
19.27  4.606  48
22.10  4.022  36
25.61  3.479  34
32.43  2.761  31

***

Entry 5:
Starting from a PBE-relaxed structure, the XRD peak list of Li3AuF6 was computed for Cu Kα.

Structure:
abc: 5.7672 5.7672 5.7672
angles: 60.00 60.00 60.00
Atoms (fractional coordinates):
Li 0.0000 0.0000 0.0000
Li 0.2500 0.2500 0.2500
Li 0.7500 0.7500 0.7500
Au 0.5000 0.5000 0.5000
F 0.2406 0.2406 0.7594
F 0.2406 0.7594 0.2406
F 0.2406 0.7594 0.7594
F 0.7594 0.2406 0.2406
F 0.7594 0.2406 0.7594
F 0.7594 0.7594 0.2406

Most intense lines, 2θ from 5° to 70°, most intense first:
2θ/deg  d [Å]  I (rel.)
18.85  4.709  100
21.79  4.078  88
36.54  2.459  66
31.01  2.884  40
50.01  1.824  37
48.66  1.871  32
44.43  2.039  26
58.83  1.570  21

***

Entry 6:
Starting from a PBE-relaxed structure, the XRD peak list of Mg6AlNi was computed for Cu Kα.

Structure:
abc: 4.7282 6.1796 10.5287
angles: 90.00 90.00 90.00
Atoms (fractional coordinates):
Mg 0.0000 0.0000 0.0000
Mg 0.0000 0.2369 0.2558
Mg 0.0000 0.2631 0.7558
Mg 0.0000 0.5000 0.5000
Mg 0.0000 0.7369 0.7558
Mg 0.0000 0.7631 0.2558
Mg 0.5000 0.0000 0.8311
Mg 0.5000 0.2435 0.5762
Mg 0.5000 0.2565 0.0762
Mg 0.5000 0.5000 0.3311
Mg 0.5000 0.7435 0.0762
Mg 0.5000 0.7565 0.5762
Al 0.0000 0.0000 0.4891
Al 0.0000 0.5000 0.9891
Ni 0.5000 0.0000 0.3493
Ni 0.5000 0.5000 0.8493

Most intense lines, 2θ from 5° to 70°, most intense first:
2θ/deg  d [Å]  I (rel.)
38.79  2.321  100
39.17  2.300  51
38.06  2.364  37
33.63  2.665  30
16.63  5.329  21
51.69  1.768  17
69.26  1.357  17
60.70  1.526  16

***

Entry 7:
Starting from a PBE-relaxed structure, the XRD peak list of NaMo6Se8 was computed for Cu Kα.

Structure:
abc: 6.8362 6.8362 6.8362
angles: 89.78 89.78 89.78
Atoms (fractional coordinates):
Na 0.0000 0.0000 0.0000
Mo 0.2352 0.5560 0.4206
Mo 0.4206 0.2352 0.5560
Mo 0.4440 0.5794 0.7648
Mo 0.5560 0.4206 0.2352
Mo 0.5794 0.7648 0.4440
Mo 0.7648 0.4440 0.5794
Se 0.1242 0.3827 0.7466
Se 0.2357 0.2357 0.2357
Se 0.2534 0.8758 0.6173
Se 0.3827 0.7466 0.1242
Se 0.6173 0.2534 0.8758
Se 0.7466 0.1242 0.3827
Se 0.7643 0.7643 0.7643
Se 0.8758 0.6173 0.2534

Most intense lines, 2θ from 5° to 70°, most intense first:
2θ/deg  d [Å]  I (rel.)
12.95  6.836  100
43.94  2.060  64
32.11  2.788  50
39.61  2.275  34
49.98  1.825  27
29.19  3.059  26
57.19  1.611  20
45.80  1.981  18

***

Entry 8:
Starting from a PBE-relaxed structure, the XRD peak list of HfMo2 was computed for Cu Kα.

Structure:
abc: 5.3634 5.3634 5.3634
angles: 60.00 60.00 60.00
Atoms (fractional coordinates):
Hf 0.1250 0.1250 0.1250
Hf 0.8750 0.8750 0.8750
Mo 0.0000 0.5000 0.5000
Mo 0.5000 0.0000 0.5000
Mo 0.5000 0.5000 0.0000
Mo 0.5000 0.5000 0.5000

Most intense lines, 2θ from 5° to 70°, most intense first:
2θ/deg  d [Å]  I (rel.)
39.40  2.287  100
33.41  2.682  49
63.76  1.460  32
41.23  2.190  23
59.72  1.548  19
20.28  4.379  2
52.59  1.740  1

***

Entry 9:
Starting from a PBE-relaxed structure, the XRD peak list of Nd4MgRu was computed for Cu Kα.

Structure:
abc: 10.0157 10.0157 10.0157
angles: 60.00 60.00 60.00
Atoms (fractional coordinates):
Nd 0.1884 0.1884 0.8116
Nd 0.1884 0.8116 0.1884
Nd 0.1884 0.8116 0.8116
Nd 0.3445 0.3445 0.3445
Nd 0.3445 0.3445 0.9666
Nd 0.3445 0.9666 0.3445
Nd 0.5612 0.5612 0.9388
Nd 0.5612 0.9388 0.5612
Nd 0.5612 0.9388 0.9388
Nd 0.8116 0.1884 0.1884
Nd 0.8116 0.1884 0.8116
Nd 0.8116 0.8116 0.1884
Nd 0.9388 0.5612 0.5612
Nd 0.9388 0.5612 0.9388
Nd 0.9388 0.9388 0.5612
Nd 0.9666 0.3445 0.3445
Mg 0.2644 0.5785 0.5785
Mg 0.5785 0.2644 0.5785
Mg 0.5785 0.5785 0.2644
Mg 0.5785 0.5785 0.5785
Ru 0.1380 0.1380 0.1380
Ru 0.1380 0.1380 0.5860
Ru 0.1380 0.5860 0.1380
Ru 0.5860 0.1380 0.1380

Most intense lines, 2θ from 5° to 70°, most intense first:
2θ/deg  d [Å]  I (rel.)
32.86  2.726  100
30.93  2.891  58
55.01  1.669  54
27.45  3.250  46
35.86  2.504  37
10.82  8.178  26
52.91  1.730  16
56.24  1.636  15

***

Entry 10:
Starting from a PBE-relaxed structure, the XRD peak list of Y3Si12Os4 was computed for Cu Kα.

Structure:
abc: 10.1485 10.1485 8.1787
angles: 90.00 90.00 47.50
Atoms (fractional coordinates):
Y 0.0000 0.0000 0.0000
Y 0.0015 0.4985 0.2500
Y 0.4985 0.0015 0.7500
Y 0.5000 0.5000 0.5000
Y 0.5015 0.9985 0.2500
Y 0.9985 0.5015 0.7500
Si 0.1107 0.6549 0.4949
Si 0.1136 0.1207 0.7278
Si 0.1207 0.1136 0.2722
Si 0.1549 0.6107 0.9949
Si 0.1673 0.8327 0.6670
Si 0.2049 0.2049 0.5000
Si 0.2951 0.2951 0.0000
Si 0.3327 0.6673 0.1670
Si 0.3451 0.8893 0.4949
Si 0.3793 0.3864 0.7722
Si 0.3864 0.3793 0.2278
Si 0.3893 0.8451 0.9949
Si 0.6107 0.1549 0.0051
Si 0.6136 0.6207 0.7722
Si 0.6207 0.6136 0.2278
Si 0.6549 0.1107 0.5051
Si 0.6673 0.3327 0.8330
Si 0.7049 0.7049 0.0000
Si 0.7951 0.7951 0.5000
Si 0.8327 0.1673 0.3330
Si 0.8451 0.3893 0.0051
Si 0.8793 0.8864 0.7278
Si 0.8864 0.8793 0.2722
Si 0.8893 0.3451 0.5051
Os 0.1271 0.8729 0.3726
Os 0.1689 0.1689 0.0000
Os 0.3311 0.3311 0.5000
Os 0.3729 0.6271 0.8726
Os 0.6271 0.3729 0.1274
Os 0.6689 0.6689 0.5000
Os 0.8311 0.8311 0.0000
Os 0.8729 0.1271 0.6274

Most intense lines, 2θ from 5° to 70°, most intense first:
2θ/deg  d [Å]  I (rel.)
21.02  4.226  100
35.04  2.561  83
36.40  2.468  56
45.43  1.996  41
42.60  2.122  37
49.20  1.852  36
58.64  1.574  35
28.83  3.096  29